# 1
Diffraction record for MnNb4C2S4. The XRD peak list is theoretical, not measured: it uses DFT lattice parameters and positions (GGA-PBE) and Cu Kα X-rays.
No peak broadening, texture or thermal motion is included.

Peak list (12 most intense, 2θ = 10–90°, by angle)
- d = 8.784 Å, 2θ 10.1, rel. 100
- d = 2.881 Å, 2θ 31.0, rel. 42
- d = 2.866 Å, 2θ 31.2, rel. 20
- d = 2.658 Å, 2θ 33.7, rel. 16
- d = 2.547 Å, 2θ 35.2, rel. 19
- d = 2.531 Å, 2θ 35.5, rel. 42
- d = 2.303 Å, 2θ 39.1, rel. 43
- d = 2.277 Å, 2θ 39.6, rel. 20
- d = 2.186 Å, 2θ 41.3, rel. 29
- d = 2.168 Å, 2θ 41.7, rel. 55
- d = 1.674 Å, 2θ 54.8, rel. 16
- d = 1.669 Å, 2θ 55.0, rel. 32

Structure:
a = 5.776 Å, b = 3.348 Å, c = 8.968 Å
α = 90.00°, β = 101.63°, γ = 90.00°
Fractional positions:
Mn1 0.000 0.000 0.000
Nb1 0.119 0.000 0.370
Nb2 0.368 0.500 0.630
Nb3 0.632 0.500 0.370
Nb4 0.881 0.000 0.630
C1 0.000 0.500 0.500
C2 0.500 0.000 0.500
S1 0.233 0.500 0.176
S2 0.272 0.000 0.822
S3 0.728 0.000 0.178
S4 0.767 0.500 0.824

---

# 2
Diffraction record for Nd2MnC4. The XRD peak list is theoretical, not measured: it uses DFT lattice parameters and positions (GGA-PBE) and Cu Kα X-rays.
No peak broadening, texture or thermal motion is included.

Peak list (12 most intense, 2θ = 10–90°, by angle)
- d = 3.286 Å, 2θ 27.1, rel. 100
- d = 3.096 Å, 2θ 28.8, rel. 46
- d = 2.953 Å, 2θ 30.3, rel. 76
- d = 2.608 Å, 2θ 34.4, rel. 26
- d = 2.539 Å, 2θ 35.4, rel. 16
- d = 2.476 Å, 2θ 36.3, rel. 31
- d = 2.399 Å, 2θ 37.5, rel. 24
- d = 2.156 Å, 2θ 41.9, rel. 16
- d = 2.038 Å, 2θ 44.5, rel. 16
- d = 1.819 Å, 2θ 50.1, rel. 26
- d = 1.697 Å, 2θ 54.0, rel. 21
- d = 1.607 Å, 2θ 57.4, rel. 47

Structure:
a = 6.873 Å, b = 6.873 Å, c = 6.873 Å
α = 112.30°, β = 84.75°, γ = 135.40°
Fractional positions:
Nd1 0.145 0.161 0.305
Nd2 0.355 0.661 0.016
Nd3 0.645 0.339 0.984
Nd4 0.855 0.839 0.695
Mn1 0.250 0.750 0.500
Mn2 0.750 0.250 0.500
C1 0.078 0.665 0.743
C2 0.124 0.834 0.958
C3 0.376 0.334 0.710
C4 0.422 0.165 0.587
C5 0.578 0.835 0.413
C6 0.624 0.666 0.290
C7 0.876 0.166 0.042
C8 0.922 0.335 0.257

---

Number 2 is which compound?
Nd2MnC4